No. 1
Diffraction record for Cd6Sn2Hg3. The X-ray diffraction stick pattern is simulated, not measured: it uses a cell relaxed with GGA-PBE and Cu Kα.

Top 8 peaks for 2θ from 15° to 90°, in order of rising 2θ:
2θ/deg, Rel. int.
29.04, 394
32.16, 403
33.06, 189
34.18, 1000
35.03, 398
37.36, 164
38.40, 285
41.62, 148

Atomic structure:
```
Cd6Sn2Hg3
1.0
5.7940 0.0000 0.0000
0.0000 10.2465 0.0000
-3.4516 0.0000 9.3242
Cd Sn Hg
12 4 6
direct
0.0817 0.2303 0.4692
0.0817 0.2697 0.9692
0.2457 0.7455 0.8559
0.2457 0.7545 0.3559
0.3998 0.2209 0.2917
0.3998 0.2791 0.7917
0.6002 0.7209 0.2083
0.6002 0.7791 0.7083
0.7543 0.2455 0.6441
0.7543 0.2545 0.1441
0.9183 0.7303 0.0308
0.9183 0.7697 0.5308
0.2972 0.5199 0.5790
0.2972 0.9801 0.0790
0.7028 0.0199 0.9210
0.7028 0.4801 0.4210
0.1156 0.0144 0.7123
0.1156 0.4856 0.2123
0.5000 0.0000 0.5000
0.5000 0.5000 0.0000
0.8844 0.5144 0.7877
0.8844 0.9856 0.2877
```

---

No. 2
Diffraction record for CdSn2Hg3. The X-ray diffraction stick pattern is simulated, not measured: it uses a cell relaxed with GGA-PBE and Cu Kα.

Top 8 peaks for 2θ from 15° to 90°, in order of rising 2θ:
2θ/deg, Rel. int.
29.32, 341
29.55, 777
30.51, 637
34.26, 1000
34.51, 458
35.68, 367
36.17, 534
45.90, 424

Atomic structure:
```
CdSn2Hg3
1.0
10.0850 0.0000 0.0000
0.0000 3.2715 0.0000
-1.8992 0.0000 10.3398
Cd Sn Hg
2 4 6
direct
0.1688 0.2500 0.2036
0.8312 0.7500 0.7964
0.2575 0.7500 0.4584
0.3957 0.7500 0.0762
0.6043 0.2500 0.9238
0.7425 0.2500 0.5416
0.0683 0.7500 0.6392
0.1185 0.7500 0.9264
0.4620 0.2500 0.6563
0.5380 0.7500 0.3437
0.8815 0.2500 0.0736
0.9317 0.2500 0.3608
```

---

No. 3
Diffraction record for Cd4SnHg. The X-ray diffraction stick pattern is simulated, not measured: it uses a cell relaxed with GGA-PBE and Cu Kα.

Top 8 peaks for 2θ from 15° to 90°, in order of rising 2θ:
2θ/deg, Rel. int.
31.10, 934
33.38, 1000
33.66, 459
36.70, 539
37.06, 360
37.57, 541
38.48, 657
55.48, 444

Atomic structure:
```
Cd4SnHg
1.0
6.0241 0.0000 0.0000
0.0000 6.0783 0.0000
-2.5064 0.0000 8.0523
Cd Sn Hg
8 2 2
direct
0.1701 0.2500 0.4690
0.2582 0.5019 0.1763
0.2582 0.9981 0.1763
0.2626 0.7500 0.8588
0.7374 0.2500 0.1412
0.7418 0.0019 0.8237
0.7418 0.4981 0.8237
0.8299 0.7500 0.5310
0.2271 0.2500 0.8359
0.7729 0.7500 0.1641
0.3198 0.7500 0.5157
0.6802 0.2500 0.4843
```